This entry pairs a crystal structure of Nd2Cu2NiO6 with its theoretical powder XRD pattern. Radiation: a wavelength of 1.5418 Å. Structure: a PBE+U-relaxed structure.

Atomic structure:
Lattice parameters (Å, degrees): 5.7306 5.7306 15.3381 90.00 90.00 120.00
Space group R-3m (No. 166, hexagonal axes)
Unique sites:
Nd: 0.0000 0.0000 0.2107
Cu: 0.0000 0.0000 0.4161
Ni: 0.0000 0.0000 0.0000
O: 0.0368 0.5184 0.7574

Main lines, in order of falling intensity (10 to 80 degrees two-theta):
d_spacing  I_rel  hkl
2.865  1000  1 1 0
2.609  688  0 1 5
1.600  359  1 2 5
1.929  336  2 0 5
1.654  188  3 0 0
1.465  184  1 0 10
1.433  167  2 2 0
1.256  136  3 1 5
5.113  133  0 0 3
2.361  123  2 0 2